Structure and theoretical powder diffraction line list of LiPm2Al3 (a GGA-PBE-relaxed structure; Cu Kα).
No peak broadening, texture or thermal motion is included.

Structure:
abc: 5.7345 5.7345 9.0930
angles: 90.00 90.00 120.00
Space group P6_3/mmc (No. 194)
One atom of each set of equivalent atoms:
Li: 0.0000 0.0000 0.0000 [2 per cell]
Pm: 0.3333 0.6667 0.0741 [4 per cell]
Al: 0.1699 0.3398 0.7500 [6 per cell]

Peak list (12 most intense, 2θ = 5–70°, by angle)
17.86 deg, I = 57.0
20.38 deg, I = 39.5
26.58 deg, I = 23.5
31.19 deg, I = 64.6
34.67 deg, I = 100.0
36.17 deg, I = 19.5
37.07 deg, I = 47.4
37.55 deg, I = 36.0
47.32 deg, I = 18.2
57.77 deg, I = 44.8
63.40 deg, I = 14.8
65.06 deg, I = 15.2

Structure and theoretical powder diffraction line list of LiPmCd6 (a GGA-PBE-relaxed structure; Cu Kα).
No peak broadening, texture or thermal motion is included.

Structure:
abc: 4.661 4.661 8.486
angles: 90.00 90.00 90.00
Space group P4/mmm (No. 123)
One atom of each set of equivalent atoms:
Li: 0.000 0.000 0.000 [1 per cell]
Pm: 0.000 0.000 0.500 [1 per cell]
Cd: 0.000 0.500 0.231 [4 per cell]
Cd: 0.500 0.500 0.000 [1 per cell]
Cd: 0.500 0.500 0.500 [1 per cell]

Peak list (12 most intense, 2θ = 5–70°, by angle)
10.43 deg, I = 4.3
21.75 deg, I = 9.4
29.07 deg, I = 8.9
31.63 deg, I = 4.3
34.46 deg, I = 100.0
38.63 deg, I = 37.6
42.62 deg, I = 12.4
50.76 deg, I = 4.5
55.78 deg, I = 12.4
58.87 deg, I = 18.4
61.45 deg, I = 4.3
67.24 deg, I = 26.9

Structure and theoretical powder diffraction line list of WCl6 (a GGA-PBE-relaxed structure; Cu Kα).
No peak broadening, texture or thermal motion is included.

Structure:
abc: 11.3708 11.3708 6.2431
angles: 90.00 90.00 120.00
Space group P-3m1 (No. 164)
One atom of each set of equivalent atoms:
W: 0.0000 0.0000 0.0000 [1 per cell]
W: 0.3333 0.6667 0.4626 [2 per cell]
Cl: 0.0957 0.1914 0.2134 [6 per cell]
Cl: 0.1420 0.5710 0.2492 [6 per cell]
Cl: 0.2377 0.4753 0.6762 [6 per cell]

Peak list (12 most intense, 2θ = 5–70°, by angle)
15.59 deg, I = 100.0
16.81 deg, I = 69.6
23.00 deg, I = 28.6
27.91 deg, I = 20.4
30.77 deg, I = 24.0
32.73 deg, I = 12.3
35.89 deg, I = 16.8
39.85 deg, I = 23.9
43.04 deg, I = 14.3
48.01 deg, I = 12.8
50.23 deg, I = 12.4
51.64 deg, I = 14.2